(1)
For Ge2As2O7, a PBE-relaxed structure gives the computed powder diffraction line list in this record (Cu Kα (λ = 1.5418 Å)).
Lines closer than 0.1° are merged.

Largest 10 diffraction maxima, most intense first, 2θ = 5–70°:
| Position (°2θ) | I (rel.) |
| --- | --- |
| 27.40 | 100 |
| 27.16 | 61 |
| 32.49 | 48 |
| 22.33 | 47 |
| 19.85 | 42 |
| 28.75 | 41 |
| 25.15 | 36 |
| 28.38 | 33 |
| 26.96 | 31 |
| 12.37 | 29 |

Cell and atoms:
Cell lengths 7.214, 7.283, 13.073 Å; angles 90.70, 96.10, 94.13 degrees
Fractional positions:
Ge (0.068, 0.084, 0.379)
Ge (0.263, 0.654, 0.906)
Ge (0.312, 0.509, 0.691)
Ge (0.338, 0.871, 0.119)
Ge (0.662, 0.129, 0.881)
Ge (0.688, 0.491, 0.309)
Ge (0.737, 0.346, 0.094)
Ge (0.932, 0.916, 0.621)
As (0.075, 0.264, 0.836)
As (0.160, 0.687, 0.473)
As (0.164, 0.266, 0.155)
As (0.398, 0.075, 0.662)
As (0.602, 0.925, 0.338)
As (0.836, 0.734, 0.845)
As (0.840, 0.313, 0.527)
As (0.925, 0.736, 0.164)
O (0.054, 0.269, 0.469)
O (0.086, 0.804, 0.867)
O (0.088, 0.429, 0.727)
O (0.144, 0.040, 0.671)
O (0.156, 0.437, 0.938)
O (0.178, 0.714, 0.175)
O (0.205, 0.162, 0.283)
O (0.221, 0.927, 0.444)
O (0.229, 0.072, 0.081)
O (0.305, 0.685, 0.598)
O (0.410, 0.758, 0.010)
O (0.418, 0.622, 0.808)
O (0.425, 0.325, 0.641)
O (0.447, 0.090, 0.802)
O (0.553, 0.910, 0.198)
O (0.575, 0.675, 0.359)
O (0.582, 0.378, 0.192)
O (0.590, 0.242, 0.990)
O (0.695, 0.315, 0.402)
O (0.771, 0.928, 0.919)
O (0.779, 0.073, 0.556)
O (0.795, 0.838, 0.717)
O (0.822, 0.286, 0.825)
O (0.844, 0.563, 0.062)
O (0.856, 0.960, 0.329)
O (0.912, 0.571, 0.273)
O (0.914, 0.196, 0.133)
O (0.946, 0.731, 0.531)

---

(2)
For ZnGeAsP, a PBE-relaxed structure gives the computed powder diffraction line list in this record (Cu Kα (λ = 1.5418 Å)).
Lines closer than 0.1° are merged.

Largest 10 diffraction maxima, most intense first, 2θ = 5–70°:
| Position (°2θ) | I (rel.) |
| --- | --- |
| 27.59 | 100 |
| 45.65 | 24 |
| 45.85 | 23 |
| 46.00 | 23 |
| 54.04 | 15 |
| 54.30 | 14 |
| 54.66 | 14 |
| 22.37 | 5 |
| 66.30 | 4 |
| 66.77 | 4 |

Cell and atoms:
Cell lengths 5.604, 5.639, 11.116 Å; angles 90.00, 90.00, 90.00 degrees
Fractional positions:
Zn (0.000, 0.250, 0.119)
Zn (0.000, 0.750, 0.381)
Zn (0.500, 0.250, 0.881)
Zn (0.500, 0.750, 0.619)
Ge (0.000, 0.250, 0.620)
Ge (0.000, 0.750, 0.880)
Ge (0.500, 0.250, 0.380)
Ge (0.500, 0.750, 0.120)
As (0.249, 0.500, 0.250)
As (0.251, 0.500, 0.750)
As (0.749, 0.000, 0.750)
As (0.751, 0.000, 0.250)
P (0.250, 0.006, 0.500)
P (0.250, 0.994, 0.000)
P (0.750, 0.494, 0.500)
P (0.750, 0.506, 0.000)

---

(3)
For Rb2Zn3GeAs4, a PBE-relaxed structure gives the computed powder diffraction line list in this record (Cu Kα (λ = 1.5418 Å)).
Lines closer than 0.1° are merged.

Largest 10 diffraction maxima, most intense first, 2θ = 5–70°:
| Position (°2θ) | I (rel.) |
| --- | --- |
| 27.96 | 100 |
| 47.91 | 52 |
| 32.71 | 44 |
| 43.49 | 41 |
| 11.87 | 35 |
| 52.50 | 33 |
| 38.99 | 27 |
| 63.19 | 13 |
| 67.46 | 13 |
| 48.86 | 9 |

Cell and atoms:
Cell lengths 8.016, 8.016, 5.883 Å; angles 90.00, 90.00, 136.89 degrees
Fractional positions:
Rb (0.000, 0.500, 0.249)
Rb (0.500, 0.000, 0.751)
Zn (0.000, 0.000, 0.000)
Zn (0.000, 0.000, 0.500)
Zn (0.500, 0.500, 0.500)
Ge (0.500, 0.500, 0.000)
As (0.155, 0.360, 0.757)
As (0.360, 0.155, 0.243)
As (0.640, 0.845, 0.243)
As (0.845, 0.640, 0.757)

---

(4)
For Sr3Ge2As4, a PBE-relaxed structure gives the computed powder diffraction line list in this record (Cu Kα (λ = 1.5418 Å)).
Lines closer than 0.1° are merged.

Largest 10 diffraction maxima, most intense first, 2θ = 5–70°:
| Position (°2θ) | I (rel.) |
| --- | --- |
| 28.23 | 100 |
| 40.02 | 20 |
| 40.68 | 20 |
| 42.27 | 17 |
| 48.31 | 10 |
| 38.37 | 8 |
| 28.61 | 7 |
| 65.63 | 6 |
| 52.16 | 6 |
| 51.06 | 6 |

Cell and atoms:
Cell lengths 7.710, 18.769, 7.560 Å; angles 90.00, 111.88, 90.00 degrees
Fractional positions:
Sr (0.218, 0.185, 0.013)
Sr (0.218, 0.315, 0.513)
Sr (0.255, 0.061, 0.512)
Sr (0.255, 0.439, 0.012)
Sr (0.261, 0.560, 0.502)
Sr (0.261, 0.940, 0.002)
Sr (0.739, 0.060, 0.998)
Sr (0.739, 0.440, 0.498)
Sr (0.745, 0.561, 0.988)
Sr (0.745, 0.939, 0.488)
Sr (0.782, 0.685, 0.487)
Sr (0.782, 0.815, 0.987)
Ge (0.213, 0.629, 0.028)
Ge (0.213, 0.871, 0.528)
Ge (0.315, 0.740, 0.915)
Ge (0.315, 0.760, 0.415)
Ge (0.685, 0.240, 0.585)
Ge (0.685, 0.260, 0.085)
Ge (0.787, 0.129, 0.472)
Ge (0.787, 0.371, 0.972)
As (0.008, 0.561, 0.752)
As (0.008, 0.939, 0.252)
As (0.040, 0.686, 0.219)
As (0.040, 0.814, 0.719)
As (0.497, 0.568, 0.241)
As (0.497, 0.932, 0.741)
As (0.498, 0.198, 0.776)
As (0.498, 0.302, 0.276)
As (0.502, 0.698, 0.724)
As (0.502, 0.802, 0.224)
As (0.503, 0.068, 0.259)
As (0.503, 0.432, 0.759)
As (0.960, 0.186, 0.281)
As (0.960, 0.314, 0.781)
As (0.992, 0.061, 0.748)
As (0.992, 0.439, 0.248)

---

(5)
For GeTe7As4, a PBE-relaxed structure gives the computed powder diffraction line list in this record (Cu Kα (λ = 1.5418 Å)).
Lines closer than 0.1° are merged.

Largest 10 diffraction maxima, most intense first, 2θ = 5–70°:
| Position (°2θ) | I (rel.) |
| --- | --- |
| 29.26 | 100 |
| 43.92 | 39 |
| 39.70 | 27 |
| 53.64 | 18 |
| 46.22 | 15 |
| 27.44 | 12 |
| 33.95 | 10 |
| 65.68 | 8 |
| 26.52 | 8 |
| 60.68 | 8 |

Cell and atoms:
Cell lengths 4.123, 4.123, 23.530 Å; angles 90.00, 90.00, 120.00 degrees
Fractional positions:
Ge (0.000, 0.000, 0.000)
Te (0.000, 0.000, 0.222)
Te (0.000, 0.000, 0.500)
Te (0.000, 0.000, 0.778)
Te (0.333, 0.667, 0.646)
Te (0.333, 0.667, 0.924)
Te (0.667, 0.333, 0.076)
Te (0.667, 0.333, 0.354)
As (0.333, 0.667, 0.155)
As (0.333, 0.667, 0.422)
As (0.667, 0.333, 0.578)
As (0.667, 0.333, 0.845)

---

(6)
For Ge4Te7As2, a PBE-relaxed structure gives the computed powder diffraction line list in this record (Cu Kα (λ = 1.5418 Å)).
Lines closer than 0.1° are merged.

Largest 10 diffraction maxima, most intense first, 2θ = 5–70°:
| Position (°2θ) | I (rel.) |
| --- | --- |
| 29.47 | 100 |
| 43.16 | 40 |
| 41.15 | 26 |
| 53.13 | 19 |
| 44.37 | 11 |
| 26.50 | 9 |
| 61.15 | 8 |
| 31.74 | 6 |
| 26.13 | 6 |
| 51.16 | 5 |

Cell and atoms:
Cell lengths 23.987, 23.987, 23.987 Å; angles 10.03, 10.03, 10.03 degrees
Fractional positions:
Ge (0.075, 0.075, 0.075)
Ge (0.309, 0.309, 0.309)
Ge (0.691, 0.691, 0.691)
Ge (0.925, 0.925, 0.925)
Te (0.000, 0.000, 0.000)
Te (0.145, 0.145, 0.145)
Te (0.235, 0.235, 0.235)
Te (0.382, 0.382, 0.382)
Te (0.618, 0.618, 0.618)
Te (0.765, 0.765, 0.765)
Te (0.855, 0.855, 0.855)
As (0.458, 0.458, 0.458)
As (0.542, 0.542, 0.542)